For PmTe2, a structure optimized by DFT (GGA-PBE) gives the theoretical powder diffractogram in this record (Cu Kα X-rays).
No peak broadening, texture or thermal motion is included.

Main lines, in order of rising 2θ (2θ from 15° to 90°):
- hkl 2 0 -2, 2θ 27.92, I = 16
- hkl 0 1 2, 2θ 28.10, I = 24
- hkl 3 0 0, 2θ 29.47, I = 38
- hkl 1 1 2, 2θ 29.80, I = 100
- hkl 2 1 2, 2θ 34.45, I = 97
- hkl 3 1 0, 2θ 35.74, I = 54
- hkl 0 2 0, 2θ 40.16, I = 66
- hkl 3 2 0, 2θ 50.59, I = 33
- hkl 3 1 4, 2θ 54.83, I = 32
- hkl 0 2 4, 2θ 58.09, I = 22
- hkl 1 1 6, 2θ 66.65, I = 20
- hkl 2 3 -2, 2θ 69.32, I = 25

Crystal structure
```
data_PmTe2
_space_group_name_H-M_alt 'P 1 21/c 1'
_space_group_IT_number 14
_cell_length_a 9.094
_cell_length_b 4.488
_cell_length_c 8.988
_cell_angle_alpha 90.00
_cell_angle_beta 90.01
_cell_angle_gamma 90.00
loop_
_space_group_symop_operation_xyz
'x,y,z'
'-x,-y,-z'
'-x,y+1/2,-z+1/2'
'x,-y+1/2,z+1/2'
loop_
_atom_site_label
_atom_site_type_symbol
_atom_site_fract_x
_atom_site_fract_y
_atom_site_fract_z
Pm1 Pm 0.228 0.249 0.125
Te1 Te 0.130 0.750 0.375
Te2 Te 0.499 0.749 0.125
```